(1)
Diffraction record for ZnW2O6. The PXRD pattern is theoretical, not measured: it uses the PBE+U geometry in the Materials Project and Cu Kα X-rays.
Neutral-atom scattering factors, no anomalous dispersion.

a = 7.671 Å, b = 5.472 Å, c = 5.347 Å
α = 90.00°, β = 90.00°, γ = 90.00°
Space group Pmn2_1 (No. 31)
Inequivalent atoms, fractional coordinates:
Zn: 0.000 0.235 0.000 x2
W: 0.249 0.748 0.000 x4
O: 0.000 0.226 0.634 x2
O: 0.000 0.726 0.905 x2
O: 0.194 0.060 0.176 x4
O: 0.201 0.539 0.297 x4

Peak list (12 most intense, 2θ from 10° to 80°, by angle)
2θ = 23.24°, intensity 100
2θ = 32.73°, intensity 25
2θ = 33.08°, intensity 93
2θ = 33.52°, intensity 21
2θ = 41.16°, intensity 10
2θ = 47.41°, intensity 12
2θ = 47.55°, intensity 23
2θ = 53.50°, intensity 29
2θ = 58.64°, intensity 20
2θ = 58.80°, intensity 11
2θ = 59.64°, intensity 22
2θ = 69.41°, intensity 13

---

(2)
Diffraction record for Li9Mn2Co5O16. The PXRD pattern is theoretical, not measured: it uses the PBE+U geometry in the Materials Project and Cu Kα X-rays.
Neutral-atom scattering factors, no anomalous dispersion.

a = 5.040 Å, b = 7.695 Å, c = 7.910 Å
α = 98.37°, β = 99.64°, γ = 104.46°
Space group P1 (No. 1)
Inequivalent atoms, fractional coordinates:
Li: 0.000 0.000 0.000 x1
Li: 0.000 0.370 0.126 x1
Li: 0.003 0.877 0.633 x1
Li: 0.010 0.640 0.879 x1
Li: 0.487 0.247 0.245 x1
Li: 0.500 0.505 0.005 x1
Li: 0.503 0.996 0.502 x1
Li: 0.516 0.759 0.760 x1
Li: 0.998 0.123 0.373 x1
Mn: 0.005 0.248 0.758 x1
Mn: 0.503 0.379 0.628 x1
Co: 0.008 0.508 0.500 x1
Co: 0.497 0.121 0.878 x1
Co: 0.503 0.627 0.376 x1
Co: 0.508 0.882 0.124 x1
Co: 0.999 0.760 0.244 x1
O: 0.240 0.144 0.627 x1
O: 0.248 0.246 0.972 x1
O: 0.248 0.487 0.741 x1
O: 0.253 0.737 0.490 x1
O: 0.255 0.985 0.250 x1
O: 0.258 0.391 0.371 x1
O: 0.263 0.651 0.123 x1
O: 0.274 0.893 0.879 x1
O: 0.731 0.106 0.139 x1
O: 0.739 0.860 0.375 x1
O: 0.742 0.759 0.022 x1
O: 0.750 0.021 0.758 x1
O: 0.755 0.616 0.630 x1
O: 0.756 0.515 0.268 x1
O: 0.762 0.354 0.879 x1
O: 0.773 0.265 0.530 x1

Peak list (12 most intense, 2θ from 10° to 80°, by angle)
2θ = 18.37°, intensity 100
2θ = 34.78°, intensity 18
2θ = 36.29°, intensity 13
2θ = 36.86°, intensity 11
2θ = 37.25°, intensity 8
2θ = 37.77°, intensity 8
2θ = 41.83°, intensity 32
2θ = 44.00°, intensity 27
2θ = 44.89°, intensity 25
2θ = 62.33°, intensity 16
2θ = 62.94°, intensity 8
2θ = 65.37°, intensity 9

---

(3)
Diffraction record for Li7Mn5O12. The PXRD pattern is theoretical, not measured: it uses the PBE+U geometry in the Materials Project and Cu Kα X-rays.
Neutral-atom scattering factors, no anomalous dispersion.

a = 6.041 Å, b = 7.811 Å, c = 10.186 Å
α = 97.39°, β = 103.62°, γ = 104.19°
Space group P1 (No. 1)
Inequivalent atoms, fractional coordinates:
Li: 0.000 0.000 0.000 x1
Li: 0.006 0.003 0.499 x1
Li: 0.154 0.665 0.981 x1
Li: 0.167 0.660 0.487 x1
Li: 0.329 0.327 0.989 x1
Li: 0.348 0.320 0.498 x1
Li: 0.490 0.002 0.482 x1
Li: 0.507 0.997 0.991 x1
Li: 0.671 0.662 0.494 x1
Li: 0.684 0.660 0.000 x1
Li: 0.831 0.320 0.481 x1
Li: 0.839 0.322 0.981 x1
Li: 0.912 0.160 0.236 x1
Li: 0.926 0.163 0.744 x1
Mn: 0.076 0.832 0.738 x1
Mn: 0.078 0.835 0.238 x1
Mn: 0.249 0.490 0.742 x1
Mn: 0.254 0.491 0.242 x1
Mn: 0.419 0.162 0.240 x1
Mn: 0.419 0.162 0.740 x1
Mn: 0.581 0.832 0.737 x1
Mn: 0.589 0.833 0.239 x1
Mn: 0.760 0.488 0.742 x1
Mn: 0.761 0.492 0.242 x1
O: 0.024 0.424 0.347 x1
O: 0.065 0.418 0.864 x1
O: 0.165 0.247 0.632 x1
O: 0.165 0.249 0.134 x1
O: 0.214 0.067 0.852 x1
O: 0.217 0.074 0.355 x1
O: 0.278 0.924 0.622 x1
O: 0.281 0.924 0.123 x1
O: 0.346 0.749 0.841 x1
O: 0.387 0.735 0.355 x1
O: 0.451 0.588 0.625 x1
O: 0.491 0.574 0.139 x1
O: 0.557 0.399 0.858 x1
O: 0.560 0.400 0.358 x1
O: 0.621 0.248 0.626 x1
O: 0.624 0.257 0.128 x1
O: 0.672 0.075 0.846 x1
O: 0.673 0.076 0.348 x1
O: 0.772 0.906 0.116 x1
O: 0.813 0.899 0.633 x1
O: 0.883 0.740 0.855 x1
O: 0.887 0.737 0.356 x1
O: 0.951 0.587 0.624 x1
O: 0.954 0.584 0.125 x1

Peak list (12 most intense, 2θ from 10° to 80°, by angle)
2θ = 18.28°, intensity 100
2θ = 34.05°, intensity 16
2θ = 36.27°, intensity 23
2θ = 40.90°, intensity 34
2θ = 44.24°, intensity 56
2θ = 58.29°, intensity 9
2θ = 61.58°, intensity 8
2θ = 61.76°, intensity 8
2θ = 61.90°, intensity 8
2θ = 62.04°, intensity 8
2θ = 63.86°, intensity 10
2θ = 64.87°, intensity 8

---

(4)
Diffraction record for LiCo2C3O9. The PXRD pattern is theoretical, not measured: it uses the PBE+U geometry in the Materials Project and Cu Kα X-rays.
Neutral-atom scattering factors, no anomalous dispersion.

a = 7.400 Å, b = 7.546 Å, c = 7.591 Å
α = 110.21°, β = 108.14°, γ = 108.21°
Space group P1 (No. 1)
Inequivalent atoms, fractional coordinates:
Li: 0.000 0.000 0.000 x1
Li: 0.471 0.677 0.636 x1
Co: 0.298 0.536 0.115 x1
Co: 0.403 0.126 0.850 x1
Co: 0.674 0.039 0.238 x1
Co: 0.790 0.402 0.731 x1
C: 0.036 0.177 0.694 x1
C: 0.223 0.766 0.879 x1
C: 0.450 0.987 0.479 x1
C: 0.598 0.417 0.358 x1
C: 0.663 0.639 0.016 x1
C: 0.909 0.333 0.099 x1
O: 0.082 0.516 0.213 x1
O: 0.087 0.231 0.894 x1
O: 0.114 0.596 0.887 x1
O: 0.140 0.110 0.611 x1
O: 0.148 0.892 0.857 x1
O: 0.411 0.907 0.593 x1
O: 0.416 0.808 0.900 x1
O: 0.440 0.870 0.297 x1
O: 0.480 0.514 0.356 x1
O: 0.487 0.483 0.977 x1
O: 0.498 0.187 0.534 x1
O: 0.543 0.246 0.191 x1
O: 0.722 0.626 0.866 x1
O: 0.754 0.298 0.928 x1
O: 0.773 0.813 0.191 x1
O: 0.776 0.503 0.530 x1
O: 0.872 0.198 0.584 x1
O: 0.890 0.185 0.150 x1

Peak list (12 most intense, 2θ from 10° to 80°, by angle)
2θ = 14.13°, intensity 75
2θ = 14.27°, intensity 70
2θ = 14.62°, intensity 83
2θ = 20.24°, intensity 100
2θ = 20.54°, intensity 41
2θ = 31.87°, intensity 21
2θ = 32.26°, intensity 19
2θ = 32.35°, intensity 38
2θ = 32.64°, intensity 19
2θ = 33.01°, intensity 17
2θ = 38.52°, intensity 18
2θ = 38.90°, intensity 19

---

(5)
Diffraction record for Ba6Na2V2Ru2O17. The PXRD pattern is theoretical, not measured: it uses the PBE+U geometry in the Materials Project and Cu Kα X-rays.
Neutral-atom scattering factors, no anomalous dispersion.

a = 5.9435 Å, b = 5.9435 Å, c = 30.2110 Å
α = 90.00°, β = 90.00°, γ = 120.00°
Space group P6_3/mmc (No. 194)
Inequivalent atoms, fractional coordinates:
Ba: 0.0000 0.0000 0.0000 x2
Ba: 0.0000 0.0000 0.2500 x2
Ba: 0.3333 0.6667 0.0926 x4
Ba: 0.3333 0.6667 0.6809 x4
Na: 0.0000 0.0000 0.1241 x4
V: 0.3333 0.6667 0.5520 x4
Ru: 0.3333 0.6667 0.2038 x4
O: 0.0279 0.5140 0.2500 x6
O: 0.1747 0.3495 0.5726 x12
O: 0.1770 0.3541 0.1702 x12
O: 0.3333 0.6667 0.0052 x4

Peak list (12 most intense, 2θ from 10° to 80°, by angle)
2θ = 20.88°, intensity 21
2θ = 26.96°, intensity 29
2θ = 29.33°, intensity 46
2θ = 30.07°, intensity 100
2θ = 40.82°, intensity 16
2θ = 42.51°, intensity 27
2θ = 42.68°, intensity 15
2θ = 48.53°, intensity 13
2θ = 51.54°, intensity 13
2θ = 52.94°, intensity 16
2θ = 53.40°, intensity 19
2θ = 62.51°, intensity 18

---

(6)
Diffraction record for CeTlW2O8. The PXRD pattern is theoretical, not measured: it uses the PBE+U geometry in the Materials Project and Cu Kα X-rays.
Neutral-atom scattering factors, no anomalous dispersion.

a = 11.356 Å, b = 11.948 Å, c = 7.690 Å
α = 90.00°, β = 132.61°, γ = 90.00°
Space group C2/m (No. 12)
Inequivalent atoms, fractional coordinates:
Ce: 0.234 0.000 0.413 x4
Tl: 0.000 0.220 0.500 x4
W: 0.000 0.344 0.000 x4
W: 0.242 0.500 0.983 x4
O: 0.020 0.500 0.204 x4
O: 0.038 0.000 0.778 x4
O: 0.067 0.252 0.235 x8
O: 0.216 0.394 0.778 x8
O: 0.217 0.386 0.149 x8

Peak list (12 most intense, 2θ from 10° to 80°, by angle)
2θ = 21.63°, intensity 17
2θ = 25.18°, intensity 41
2θ = 25.38°, intensity 32
2θ = 26.02°, intensity 100
2θ = 27.59°, intensity 72
2θ = 31.62°, intensity 60
2θ = 33.94°, intensity 19
2θ = 43.30°, intensity 22
2θ = 47.46°, intensity 26
2θ = 48.02°, intensity 17
2θ = 50.75°, intensity 19
2θ = 52.12°, intensity 26

---

(7)
Diffraction record for VO2F. The PXRD pattern is theoretical, not measured: it uses the PBE+U geometry in the Materials Project and Cu Kα X-rays.
Neutral-atom scattering factors, no anomalous dispersion.

a = 5.451 Å, b = 12.521 Å, c = 8.686 Å
α = 90.00°, β = 121.75°, γ = 90.00°
Space group P2_1/c (No. 14)
Inequivalent atoms, fractional coordinates:
V: 0.012 0.118 0.262 x4
V: 0.307 0.648 0.696 x4
O: 0.043 0.624 0.464 x4
O: 0.148 0.748 0.252 x4
O: 0.220 0.539 0.238 x4
O: 0.425 0.194 0.814 x4
F: 0.283 0.512 0.782 x4
F: 0.318 0.137 0.494 x4

Peak list (12 most intense, 2θ from 10° to 80°, by angle)
2θ = 17.85°, intensity 18
2θ = 19.15°, intensity 6
2θ = 20.43°, intensity 12
2θ = 21.71°, intensity 100
2θ = 22.63°, intensity 7
2θ = 24.10°, intensity 40
2θ = 25.14°, intensity 7
2θ = 28.51°, intensity 13
2θ = 31.07°, intensity 15
2θ = 34.12°, intensity 9
2θ = 36.90°, intensity 7
2θ = 39.03°, intensity 7

---

(8)
Diffraction record for Li3Ti2VO6. The PXRD pattern is theoretical, not measured: it uses the PBE+U geometry in the Materials Project and Cu Kα X-rays.
Neutral-atom scattering factors, no anomalous dispersion.

a = 13.137 Å, b = 2.952 Å, c = 6.009 Å
α = 90.00°, β = 105.93°, γ = 90.00°
Space group C2/m (No. 12)
Inequivalent atoms, fractional coordinates:
Li: 0.000 0.000 0.000 x2
Li: 0.166 0.500 0.328 x4
Ti: 0.159 0.500 0.818 x4
V: 0.000 0.000 0.500 x2
O: 0.002 0.500 0.747 x4
O: 0.168 0.000 0.592 x4
O: 0.173 0.000 0.062 x4

Peak list (12 most intense, 2θ from 10° to 80°, by angle)
2θ = 17.73°, intensity 100
2θ = 35.74°, intensity 25
2θ = 35.94°, intensity 16
2θ = 37.20°, intensity 5
2θ = 42.97°, intensity 89
2θ = 46.65°, intensity 9
2θ = 56.18°, intensity 9
2θ = 61.22°, intensity 17
2θ = 61.82°, intensity 8
2θ = 62.97°, intensity 8
2θ = 63.53°, intensity 14
2θ = 79.26°, intensity 7